# 1
The following is a simulated X-ray diffraction stick pattern of SrHgH. It was derived from DFT lattice parameters and positions (PBE), using Cu Kα.
Intensities are scaled so that the largest is 100.

Structure:
```
48
Lattice="5.219 0.000 0.000 0.000 17.397 0.000 0.000 0.000 11.879" Properties=species:S:1:pos:R:3 pbc="T T T"
Sr 1.296 1.475 1.412
Sr 1.293 4.338 4.433
Sr 1.293 4.361 10.373
Sr 1.296 7.224 7.351
Sr 1.314 10.173 1.412
Sr 1.317 13.036 4.433
Sr 1.317 13.059 10.373
Sr 1.314 15.922 7.351
Sr 3.905 1.475 4.527
Sr 3.902 4.338 1.506
Sr 3.902 4.361 7.445
Sr 3.905 7.224 10.467
Sr 3.924 10.173 4.527
Sr 3.927 13.036 1.506
Sr 3.927 13.059 7.445
Sr 3.924 15.922 10.467
Hg 1.299 1.938 6.809
Hg 1.299 6.761 0.870
Hg 1.303 0.834 9.864
Hg 1.303 7.864 3.925
Hg 1.307 9.532 9.864
Hg 1.307 16.563 3.925
Hg 1.311 10.636 6.809
Hg 1.311 15.459 0.870
Hg 3.908 1.938 11.009
Hg 3.908 6.761 5.070
Hg 3.912 0.834 7.954
Hg 3.912 7.864 2.015
Hg 3.917 9.532 7.954
Hg 3.917 16.563 2.015
Hg 3.921 10.636 11.009
Hg 3.921 15.459 5.070
H 0.012 11.555 2.970
H 0.012 14.541 8.910
H 1.291 3.923 0.900
H 1.291 4.775 6.839
H 1.318 12.622 0.900
H 1.318 13.474 6.839
H 2.597 2.856 2.970
H 2.597 5.842 8.910
H 2.622 11.555 2.969
H 2.622 14.541 8.908
H 3.901 3.923 5.039
H 3.901 4.775 10.979
H 3.928 12.622 5.039
H 3.928 13.474 10.979
H 5.207 2.856 2.969
H 5.207 5.842 8.908
```

Largest 10 diffraction maxima, in order of rising 2θ, 10 to 90 degrees two-theta:
2θ 10.2, intensity 56
2θ 12.6, intensity 54
2θ 30.1, intensity 57
2θ 30.7, intensity 100
2θ 30.8, intensity 21
2θ 34.4, intensity 53
2θ 34.8, intensity 47
2θ 35.1, intensity 36
2θ 36.3, intensity 51
2θ 58.0, intensity 26

=====

# 2
The following is a simulated X-ray diffraction stick pattern of Tm2Mn9Re. It was derived from DFT lattice parameters and positions (PBE), using Cu Kα.
Intensities are scaled so that the largest is 100.

Structure:
```
12
Lattice="4.114 -2.483 0.000 4.114 2.483 0.000 -2.678 0.000 8.175" Properties=species:S:1:pos:R:3 pbc="T T T"
Tm 0.017 0.000 3.441
Tm 5.533 0.000 4.733
Mn 2.027 1.249 1.897
Mn 2.777 0.000 0.026
Mn 1.432 0.000 6.195
Mn 3.524 1.249 6.278
Mn 2.775 0.000 4.087
Mn 2.027 -1.249 1.897
Mn 4.119 0.000 1.980
Mn 2.774 0.000 8.149
Mn 3.524 -1.249 6.278
Re 0.000 0.000 0.000
```

Largest 10 diffraction maxima, in order of rising 2θ, 10 to 90 degrees two-theta:
2θ 33.1, intensity 78
2θ 33.7, intensity 39
2θ 36.2, intensity 100
2θ 36.4, intensity 35
2θ 37.5, intensity 73
2θ 42.6, intensity 63
2θ 42.7, intensity 50
2θ 43.6, intensity 58
2θ 43.9, intensity 60
2θ 69.4, intensity 32

=====

# 3
The following is a simulated X-ray diffraction stick pattern of ThSc2Pa2. It was derived from DFT lattice parameters and positions (PBE), using Cu Kα.
Intensities are scaled so that the largest is 100.

Structure:
```
5
Lattice="2.881 -1.661 0.000 2.881 1.661 0.000 -1.921 0.000 13.599" Properties=species:S:1:pos:R:3 pbc="T T T"
Th 0.000 0.000 0.000
Sc 1.913 0.000 2.858
Sc 1.927 0.000 10.741
Pa 0.003 0.000 5.453
Pa 3.837 0.000 8.146
```

Largest 10 diffraction maxima, in order of rising 2θ, 10 to 90 degrees two-theta:
2θ 13.0, intensity 58
2θ 19.6, intensity 25
2θ 31.1, intensity 58
2θ 32.9, intensity 50
2θ 34.8, intensity 100
2θ 35.8, intensity 84
2θ 44.2, intensity 26
2θ 55.2, intensity 23
2θ 59.3, intensity 33
2θ 65.8, intensity 27

=====

# 4
The following is a simulated X-ray diffraction stick pattern of Tm4Ga12Fe. It was derived from DFT lattice parameters and positions (PBE), using Cu Kα.
Intensities are scaled so that the largest is 100.

Structure:
```
17
Lattice="-4.260 4.260 4.260 4.260 -4.260 4.260 4.260 4.260 -4.260" Properties=species:S:1:pos:R:3 pbc="T T T"
Tm 2.130 2.130 -2.130
Tm 2.130 -2.130 2.130
Tm -2.130 2.130 2.130
Tm 2.130 2.130 2.130
Ga 2.422 0.000 0.000
Ga 6.097 0.000 0.000
Ga 4.260 2.130 0.000
Ga 4.260 0.000 2.130
Ga 0.000 2.422 0.000
Ga 0.000 0.000 2.422
Ga 2.130 4.260 0.000
Ga 2.130 0.000 4.260
Ga 0.000 6.097 0.000
Ga 0.000 0.000 6.097
Ga 0.000 4.260 2.130
Ga 0.000 2.130 4.260
Fe 0.000 0.000 0.000
```

Largest 10 diffraction maxima, in order of rising 2θ, 10 to 90 degrees two-theta:
2θ 20.9, intensity 13
2θ 29.7, intensity 26
2θ 36.5, intensity 100
2θ 42.4, intensity 57
2θ 47.7, intensity 9
2θ 52.6, intensity 9
2θ 61.6, intensity 35
2θ 73.8, intensity 33
2θ 77.6, intensity 11
2θ 85.2, intensity 7

=====

# 5
The following is a simulated X-ray diffraction stick pattern of Sc6PdRu. It was derived from DFT lattice parameters and positions (PBE), using Cu Kα.
Intensities are scaled so that the largest is 100.

Structure:
```
8
Lattice="-2.325 2.325 7.840 2.325 -2.325 7.840 2.325 2.325 -7.840" Properties=species:S:1:pos:R:3 pbc="T T T"
Sc 2.325 0.000 1.569
Sc 0.000 0.000 3.872
Sc 2.325 0.000 6.271
Sc 0.000 2.325 1.569
Sc 0.000 0.000 11.808
Sc 0.000 2.325 6.271
Pd 0.000 0.000 7.840
Ru 0.000 0.000 0.000
```

Largest 10 diffraction maxima, in order of rising 2θ, 10 to 90 degrees two-theta:
2θ 11.3, intensity 62
2θ 22.7, intensity 10
2θ 35.6, intensity 100
2θ 38.7, intensity 46
2θ 40.5, intensity 11
2θ 44.3, intensity 19
2θ 54.5, intensity 9
2θ 55.9, intensity 15
2θ 61.9, intensity 12
2θ 68.1, intensity 27

=====

# 6
The following is a simulated X-ray diffraction stick pattern of TaCo6Re. It was derived from DFT lattice parameters and positions (PBE), using Cu Kα.
Intensities are scaled so that the largest is 100.

Structure:
```
32
Lattice="3.611 -5.097 0.000 3.611 5.097 0.000 0.000 0.000 10.205" Properties=species:S:1:pos:R:3 pbc="T T T"
Ta 0.000 0.000 2.534
Ta 0.000 0.000 7.671
Ta 3.611 2.575 0.000
Ta 3.611 -2.575 0.000
Co 0.000 0.000 0.000
Co 0.000 0.000 5.102
Co 1.842 1.295 3.861
Co 1.842 1.295 6.344
Co 1.848 1.259 1.313
Co 1.848 1.259 8.892
Co 3.611 2.513 2.612
Co 3.611 2.513 7.593
Co 1.848 -1.259 1.313
Co 1.848 -1.259 8.892
Co 1.842 -1.295 3.861
Co 1.842 -1.295 6.344
Co 3.611 0.000 0.000
Co 3.611 0.000 5.102
Co 5.380 1.295 3.861
Co 5.380 1.295 6.344
Co 5.374 1.259 1.313
Co 5.374 1.259 8.892
Co 3.611 -2.513 2.612
Co 3.611 -2.513 7.593
Co 5.374 -1.259 1.313
Co 5.374 -1.259 8.892
Co 5.380 -1.295 3.861
Co 5.380 -1.295 6.344
Re 3.611 2.587 5.102
Re 3.611 0.000 2.524
Re 3.611 0.000 7.680
Re 3.611 -2.587 5.102
```

Largest 10 diffraction maxima, in order of rising 2θ, 10 to 90 degrees two-theta:
2θ 24.7, intensity 35
2θ 35.2, intensity 28
2θ 43.4, intensity 100
2θ 50.6, intensity 47
2θ 57.1, intensity 15
2θ 63.1, intensity 12
2θ 74.4, intensity 29
2θ 79.7, intensity 6
2θ 85.0, intensity 3
2θ 85.1, intensity 3

=====

# 7
The following is a simulated X-ray diffraction stick pattern of Pm2N2Cl. It was derived from DFT lattice parameters and positions (PBE), using Cu Kα.
Intensities are scaled so that the largest is 100.

Structure:
```
10
Lattice="7.049 -2.077 0.000 7.049 2.077 0.000 -1.446 0.000 6.351" Properties=species:S:1:pos:R:3 pbc="T T T"
Pm 3.566 1.367 5.455
Pm 8.365 1.367 4.071
Pm 4.288 -1.367 2.279
Pm 9.087 -1.367 0.896
N 3.337 0.578 3.056
N 2.614 -0.578 6.231
N 10.039 0.578 0.120
N 9.316 -0.578 3.295
Cl 6.688 1.082 1.588
Cl 5.965 -1.082 4.763
```

Largest 10 diffraction maxima, in order of rising 2θ, 10 to 90 degrees two-theta:
2θ 12.9, intensity 63
2θ 27.2, intensity 61
2θ 28.2, intensity 41
2θ 29.0, intensity 23
2θ 30.3, intensity 100
2θ 33.6, intensity 46
2θ 34.2, intensity 36
2θ 39.3, intensity 55
2θ 47.0, intensity 23
2θ 47.3, intensity 37

=====

# 8
The following is a simulated X-ray diffraction stick pattern of ThGeS4. It was derived from DFT lattice parameters and positions (PBE), using Cu Kα.
Intensities are scaled so that the largest is 100.

Structure:
```
12
Lattice="-4.517 4.517 3.866 4.517 -4.517 3.866 4.517 4.517 -3.866" Properties=species:S:1:pos:R:3 pbc="T T T"
Th 4.517 2.258 0.967
Th 0.000 2.258 2.900
Ge 4.517 -2.258 2.900
Ge 0.000 6.775 0.967
S 4.517 -0.616 1.382
S 4.517 3.901 -1.382
S 1.642 2.258 0.551
S 2.875 -2.258 4.417
S 1.642 6.775 -0.551
S 2.875 2.258 3.315
S 0.000 0.616 5.248
S 0.000 5.133 2.484
```

Largest 10 diffraction maxima, in order of rising 2θ, 10 to 90 degrees two-theta:
2θ 15.1, intensity 39
2θ 19.7, intensity 100
2θ 27.0, intensity 57
2θ 27.9, intensity 18
2θ 31.9, intensity 21
2θ 37.7, intensity 15
2θ 39.2, intensity 71
2θ 39.9, intensity 20
2θ 48.8, intensity 28
2θ 64.8, intensity 14

=====

# 9
The following is a simulated X-ray diffraction stick pattern of TaCr4Ru. It was derived from DFT lattice parameters and positions (PBE), using Cu Kα.
Intensities are scaled so that the largest is 100.

Structure:
```
6
Lattice="0.000 3.406 3.406 3.406 0.000 3.406 3.406 3.406 0.000" Properties=species:S:1:pos:R:3 pbc="T T T"
Ta 0.000 0.000 0.000
Cr 4.270 2.543 2.543
Cr 2.543 4.270 2.543
Cr 2.543 2.543 4.270
Cr 4.270 4.270 4.270
Ru 1.703 1.703 1.703
```

Largest 10 diffraction maxima, in order of rising 2θ, 10 to 90 degrees two-theta:
2θ 22.6, intensity 22
2θ 26.2, intensity 5
2θ 37.3, intensity 66
2θ 44.1, intensity 100
2θ 46.2, intensity 15
2θ 59.1, intensity 5
2θ 67.3, intensity 23
2θ 72.0, intensity 29
2θ 79.6, intensity 21
2θ 84.0, intensity 5